(1)
This entry pairs a crystal structure of Li2NdAu6 with its calculated PXRD pattern. Radiation: a wavelength of 1.5418 Å. Structure: a structure optimized by DFT (PBE).

Atomic structure:
```
data_Li2NdAu6
_cell_length_a 3.2697
_cell_length_b 8.0425
_cell_length_c 13.8197
_cell_angle_alpha 90.00
_cell_angle_beta 90.00
_cell_angle_gamma 90.00
_symmetry_space_group_name_H-M 'I m m m'
_symmetry_Int_Tables_number 71
_symmetry_space_group_name_Hall '-I 2 2'
loop_
_atom_site_label
_atom_site_type_symbol
_atom_site_fract_x
_atom_site_fract_y
_atom_site_fract_z
Li1 Li 0.0000 0.0000 0.1425
Nd1 Nd 0.0000 0.5000 0.0000
Au1 Au 0.0000 0.1744 0.3215
Au2 Au 0.0000 0.3316 0.5000
```

Peak list (10 most intense, 2θ = 10–90°, in order of rising 2θ)
22.24 deg, 3.997 Å, I = 36; 28.04 deg, 3.182 Å, I = 47; 32.27 deg, 2.774 Å, I = 61; 35.99 deg, 2.495 Å, I = 44; 38.87 deg, 2.317 Å, I = 100; 39.11 deg, 2.303 Å, I = 45; 42.84 deg, 2.111 Å, I = 34; 45.69 deg, 1.986 Å, I = 40; 70.50 deg, 1.336 Å, I = 36; 70.69 deg, 1.333 Å, I = 35

(2)
This entry pairs a crystal structure of Pm2Mg15In2 with its calculated PXRD pattern. Radiation: a wavelength of 1.5418 Å. Structure: a structure optimized by DFT (PBE).

Atomic structure:
```
data_Pm2Mg15In2
_cell_length_a 10.2612
_cell_length_b 10.2612
_cell_length_c 15.1511
_cell_angle_alpha 90.00
_cell_angle_beta 90.00
_cell_angle_gamma 120.00
_symmetry_space_group_name_H-M 'R -3 m'
_symmetry_Int_Tables_number 166
_symmetry_space_group_name_Hall '-R 3 2"'
loop_
_atom_site_label
_atom_site_type_symbol
_atom_site_fract_x
_atom_site_fract_y
_atom_site_fract_z
Pm1 Pm 0.0000 0.0000 0.1759
Mg1 Mg 0.0000 0.3097 0.5000
Mg2 Mg 0.0000 0.5000 0.0000
Mg3 Mg 0.0095 0.5048 0.6546
In1 In 0.0000 0.0000 0.4005
```

Peak list (10 most intense, 2θ = 10–90°, in order of rising 2θ)
17.28 deg, 5.131 Å, I = 100; 24.74 deg, 3.599 Å, I = 30; 30.17 deg, 2.962 Å, I = 67; 31.02 deg, 2.883 Å, I = 20; 31.19 deg, 2.868 Å, I = 31; 34.98 deg, 2.565 Å, I = 60; 35.12 deg, 2.555 Å, I = 49; 35.73 deg, 2.513 Å, I = 19; 35.87 deg, 2.503 Å, I = 33; 40.08 deg, 2.250 Å, I = 32

(3)
This entry pairs a crystal structure of ZrCu5Pd4 with its calculated PXRD pattern. Radiation: a wavelength of 1.5418 Å. Structure: a structure optimized by DFT (PBE).

Atomic structure:
```
data_ZrCu5Pd4
_cell_length_a 4.6524
_cell_length_b 5.4557
_cell_length_c 6.1867
_cell_angle_alpha 76.89
_cell_angle_beta 74.50
_cell_angle_gamma 75.13
_symmetry_space_group_name_H-M 'P -1'
_symmetry_Int_Tables_number 2
loop_
_symmetry_equiv_pos_as_xyz
'x,y,z'
'-x,-y,-z'
loop_
_atom_site_label
_atom_site_type_symbol
_atom_site_fract_x
_atom_site_fract_y
_atom_site_fract_z
Zr1 Zr 0.0000 0.0000 0.0000
Cu1 Cu 0.0000 0.5000 0.0000
Cu2 Cu 0.2103 0.7922 0.5867
Cu3 Cu 0.4233 0.5923 0.1927
Pd1 Pd 0.1899 0.3054 0.6076
Pd2 Pd 0.3850 0.1111 0.2082
```

Peak list (10 most intense, 2θ = 10–90°, in order of rising 2θ)
40.27 deg, 2.239 Å, I = 52; 40.37 deg, 2.234 Å, I = 51; 40.60 deg, 2.222 Å, I = 100; 46.38 deg, 1.958 Å, I = 67; 48.41 deg, 1.880 Å, I = 30; 67.63 deg, 1.385 Å, I = 10; 69.21 deg, 1.357 Å, I = 10; 81.72 deg, 1.178 Å, I = 12; 82.00 deg, 1.175 Å, I = 17; 82.17 deg, 1.173 Å, I = 10

(4)
This entry pairs a crystal structure of Pm4Y4Er with its calculated PXRD pattern. Radiation: a wavelength of 1.5418 Å. Structure: a structure optimized by DFT (PBE).

Atomic structure:
```
data_Pm4Y4Er
_cell_length_a 15.2805
_cell_length_b 5.0880
_cell_length_c 8.0523
_cell_angle_alpha 90.00
_cell_angle_beta 108.59
_cell_angle_gamma 90.00
_symmetry_space_group_name_H-M 'C 1 2/m 1'
_symmetry_Int_Tables_number 12
loop_
_symmetry_equiv_pos_as_xyz
'x,y,z'
'-x,-y,-z'
'-x,y,-z'
'x,-y,z'
'x+1/2,y+1/2,z'
'-x+1/2,-y+1/2,-z'
'-x+1/2,y+1/2,-z'
'x+1/2,-y+1/2,z'
loop_
_atom_site_label
_atom_site_type_symbol
_atom_site_fract_x
_atom_site_fract_y
_atom_site_fract_z
Pm1 Pm 0.1657 0.0000 0.0009
Pm2 Pm 0.2219 0.5000 0.3332
Y1 Y 0.0551 0.0000 0.3332
Y2 Y 0.1106 0.5000 0.6679
Er1 Er 0.0000 0.5000 0.0000
```

Peak list (10 most intense, 2θ = 10–90°, in order of rising 2θ)
30.42 deg, 2.939 Å, I = 100; 35.27 deg, 2.545 Å, I = 50; 50.72 deg, 1.800 Å, I = 30; 50.79 deg, 1.798 Å, I = 6; 60.29 deg, 1.535 Å, I = 28; 60.36 deg, 1.534 Å, I = 14; 63.23 deg, 1.471 Å, I = 6; 63.35 deg, 1.468 Å, I = 6; 82.62 deg, 1.168 Å, I = 9; 85.28 deg, 1.138 Å, I = 11